Entry 1:
# PmDy4HoEr2
Simulated X-ray diffraction stick pattern, CuKα. Input: a cell relaxed with GGA-PBE.
Neutral-atom scattering factors, no anomalous dispersion.

Structure:
```
PmDy4HoEr2
1.0
6.765 0.000 0.000
3.381 8.838 0.000
3.381 1.065 8.785
Pm Dy Ho Er
2 8 2 4
direct
0.000 0.000 0.000
0.000 0.500 0.500
0.250 0.247 0.248
0.251 0.751 0.251
0.252 0.249 0.749
0.254 0.748 0.747
0.746 0.252 0.253
0.748 0.751 0.251
0.749 0.249 0.749
0.750 0.753 0.752
0.000 0.500 0.000
0.500 0.500 0.000
0.000 0.000 0.500
0.500 0.000 0.000
0.500 0.000 0.500
0.500 0.500 0.500
```

Main lines, by angle (10 to 90 degrees two-theta):
2θ/deg  d (Å)  intensity
26.94  3.309  46
30.50  2.931  100
41.14  2.194  89
54.21  1.692  20
61.55  1.507  27
63.50  1.465  8
64.69  1.441  23
70.23  1.340  12
81.29  1.184  6
81.37  1.183  6
88.17  1.108  7
89.32  1.097  7



Entry 2:
# Pm2Tm3Cd2
Simulated X-ray diffraction stick pattern, CuKα. Input: a cell relaxed with GGA-PBE.
Neutral-atom scattering factors, no anomalous dispersion.

Structure:
```
Pm2Tm3Cd2
1.0
3.542 0.000 0.000
0.000 32.797 0.000
0.000 0.000 3.503
Pm Tm Cd
4 6 4
direct
0.000 0.202 0.000
0.000 0.798 0.000
0.500 0.298 0.000
0.500 0.702 0.000
0.000 0.073 0.000
0.000 0.500 0.500
0.000 0.927 0.000
0.500 0.000 0.500
0.500 0.427 0.000
0.500 0.573 0.000
0.000 0.365 0.500
0.000 0.635 0.500
0.500 0.135 0.500
0.500 0.865 0.500
```

Main lines, by angle (10 to 90 degrees two-theta):
2θ/deg  d (Å)  intensity
30.30  2.949  29
31.67  2.825  100
33.65  2.663  69
36.17  2.483  74
38.43  2.343  21
51.60  1.771  19
52.22  1.752  14
55.96  1.643  38
62.38  1.489  29
63.04  1.475  22
68.39  1.372  10
76.50  1.245  9



Entry 3:
# CsRb2Cu2Cl7
Simulated X-ray diffraction stick pattern, CuKα. Input: a cell relaxed with GGA-PBE.
Neutral-atom scattering factors, no anomalous dispersion.

Structure:
```
CsRb2Cu2Cl7
1.0
3.530 -3.529 0.000
3.530 3.529 0.000
-3.474 0.000 12.929
Cs Rb Cu Cl
1 2 2 7
direct
0.000 0.000 0.000
0.179 0.179 0.364
0.821 0.821 0.636
0.407 0.407 0.809
0.593 0.593 0.191
0.093 0.593 0.190
0.315 0.315 0.623
0.407 0.907 0.810
0.500 0.500 0.000
0.593 0.093 0.190
0.685 0.685 0.377
0.907 0.407 0.810
```

Main lines, by angle (10 to 90 degrees two-theta):
2θ/deg  d (Å)  intensity
24.79  3.592  100
25.23  3.530  84
30.09  2.970  18
32.77  2.733  53
32.87  2.725  17
34.69  2.586  35
35.98  2.496  97
44.14  2.052  22
44.24  2.047  22
50.76  1.799  21
50.93  1.793  22
51.80  1.765  32



Entry 4:
# Hf4Ga2Si
Simulated X-ray diffraction stick pattern, CuKα. Input: a cell relaxed with GGA-PBE.
Neutral-atom scattering factors, no anomalous dispersion.

Structure:
```
Hf4Ga2Si
1.0
4.719 0.000 0.000
0.000 4.719 0.000
0.000 0.000 14.294
Hf Ga Si
8 4 2
direct
0.000 0.000 0.175
0.000 0.000 0.825
0.000 0.500 0.000
0.000 0.500 0.500
0.500 0.000 0.000
0.500 0.000 0.500
0.500 0.500 0.325
0.500 0.500 0.675
0.000 0.000 0.368
0.000 0.000 0.632
0.500 0.500 0.132
0.500 0.500 0.868
0.000 0.000 0.000
0.500 0.500 0.500
```

Main lines, by angle (10 to 90 degrees two-theta):
2θ/deg  d (Å)  intensity
12.38  7.147  18
26.58  3.353  18
29.54  3.024  100
36.83  2.441  88
37.76  2.382  25
38.14  2.360  67
54.01  1.698  16
54.75  1.676  35
55.04  1.669  23
63.70  1.461  23
68.08  1.377  25
68.68  1.367  18



Entry 5:
# Sr3TmIr8
Simulated X-ray diffraction stick pattern, CuKα. Input: a cell relaxed with GGA-PBE.
Neutral-atom scattering factors, no anomalous dispersion.

Structure:
```
Sr3TmIr8
1.0
2.726 1.574 8.855
-2.726 1.574 8.855
0.000 -3.148 8.855
Sr Tm Ir
3 1 8
direct
0.000 0.000 0.000
0.124 0.124 0.124
0.627 0.627 0.627
0.501 0.501 0.501
0.063 0.063 0.556
0.063 0.556 0.063
0.071 0.563 0.563
0.313 0.313 0.313
0.556 0.063 0.063
0.563 0.071 0.563
0.563 0.563 0.071
0.813 0.813 0.813
```

Main lines, by angle (10 to 90 degrees two-theta):
2θ/deg  d (Å)  intensity
19.98  4.444  42
32.85  2.726  9
38.78  2.322  100
38.90  2.315  33
40.55  2.224  59
40.76  2.214  19
47.24  1.924  20
62.64  1.483  17
62.72  1.481  16
68.89  1.363  21
69.18  1.358  20
83.24  1.161  15



Entry 6:
# AcLaTb4Pm2
Simulated X-ray diffraction stick pattern, CuKα. Input: a cell relaxed with GGA-PBE.
Neutral-atom scattering factors, no anomalous dispersion.

Structure:
```
AcLaTb4Pm2
1.0
7.371 0.000 0.000
0.000 7.373 0.000
0.000 0.000 10.205
Ac La Tb Pm
2 2 8 4
direct
0.000 0.000 0.000
0.000 0.500 0.500
0.000 0.000 0.500
0.500 0.000 0.500
0.255 0.252 0.248
0.255 0.252 0.752
0.255 0.748 0.248
0.255 0.748 0.752
0.745 0.252 0.248
0.745 0.252 0.752
0.745 0.748 0.248
0.745 0.748 0.752
0.000 0.500 0.000
0.500 0.000 0.000
0.500 0.500 0.000
0.500 0.500 0.500
```

Main lines, by angle (10 to 90 degrees two-theta):
2θ/deg  d (Å)  intensity
29.90  2.988  100
34.41  2.606  35
35.18  2.551  16
49.45  1.843  12
50.03  1.823  24
58.88  1.569  30
59.89  1.544  14
62.13  1.494  13
80.39  1.195  6
81.28  1.184  12
82.81  1.166  6
83.25  1.161  6



> Which formula does entry 5 have?

Sr3TmIr8